1.
Theoretical powder diffraction line list
Compound: AlCuI3Br
Radiation: a wavelength of 1.5418 Å
Structure: the PBE geometry in OQMD

Principal peaks in the range 2θ = 10–80°, by angle:
(hkl), 2theta, d_spacing, Rel. int.
1 -1 1, 25.26, 3.526, 100.0
-1 1 1, 25.66, 3.472, 48.7
1 1 -2, 25.89, 3.441, 46.5
0 2 -1, 27.87, 3.201, 23.4
2 0 -1, 28.27, 3.157, 23.8
0 0 2, 32.33, 2.769, 23.0
2 -2 0, 39.98, 2.255, 20.4
2 2 -2, 40.25, 2.241, 18.4
2 0 1, 42.82, 2.112, 17.2
0 2 1, 43.03, 2.102, 16.3
0 2 -3, 43.37, 2.086, 16.0
3 -1 0, 47.88, 1.900, 15.6

Cell and atoms:
```
data_AlCuI3Br
_chemical_formula_sum 'Al1 Cu1 I3 Br1'
_symmetry_space_group_name_H-M 'P 1'
_symmetry_Int_Tables_number 1
_symmetry_space_group_name_Hall 'P 1'
_cell_length_a 6.318
_cell_length_b 6.401
_cell_length_c 7.038
_cell_angle_alpha 116.49
_cell_angle_beta 115.06
_cell_angle_gamma 90.35
loop_
_atom_site_label
_atom_site_type_symbol
_atom_site_fract_x
_atom_site_fract_y
_atom_site_fract_z
_atom_site_occupancy
Al1 Al 0.000 0.000 0.000 1
Cu1 Cu 0.755 0.253 0.493 1
I1 I 0.110 0.633 0.740 1
I2 I 0.368 0.357 0.248 1
I3 I 0.642 0.111 0.740 1
Br1 Br 0.895 0.915 0.245 1
```


2.
Theoretical powder diffraction line list
Compound: Cs3Re2SCl10
Radiation: a wavelength of 1.5418 Å
Structure: the PBE geometry in OQMD

Principal peaks in the range 2θ = 10–80°, by angle:
(hkl), 2theta, d_spacing, Rel. int.
1 0 1, 12.99, 6.814, 69.5
1 1 0, 17.23, 5.145, 46.7
1 0 3, 18.34, 4.837, 66.6
1 1 2, 19.53, 4.546, 100.0
2 0 0, 24.47, 3.638, 53.6
1 1 4, 25.22, 3.531, 41.0
1 0 5, 26.01, 3.426, 54.6
2 0 4, 30.73, 2.910, 61.0
2 2 0, 34.87, 2.573, 83.4
2 1 5, 36.01, 2.494, 36.2
4 0 0, 50.18, 1.818, 49.2
2 2 8, 51.79, 1.765, 39.5

Cell and atoms:
```
data_Cs3Re2SCl10
_chemical_formula_sum 'Cs6 Re4 S2 Cl20'
_symmetry_space_group_name_H-M 'I 4/m m m'
_symmetry_Int_Tables_number 139
_symmetry_space_group_name_Hall '-I 4 2'
_cell_length_a 7.277
_cell_length_b 7.277
_cell_length_c 19.416
_cell_angle_alpha 90.00
_cell_angle_beta 90.00
_cell_angle_gamma 90.00
loop_
_atom_site_label
_atom_site_type_symbol
_atom_site_fract_x
_atom_site_fract_y
_atom_site_fract_z
_atom_site_occupancy
Cs1 Cs 0.000 0.000 0.000 1
Cs2 Cs 0.000 0.500 0.250 1
Re1 Re 0.000 0.000 0.390 1
S1 S 0.000 0.000 0.500 1
Cl1 Cl 0.000 0.000 0.265 1
Cl2 Cl 0.231 0.231 0.381 1
```


3.
Theoretical powder diffraction line list
Compound: Ho2CoPd
Radiation: a wavelength of 1.5418 Å
Structure: the PBE geometry in OQMD

Principal peaks in the range 2θ = 10–80°, by angle:
(hkl), 2theta, d_spacing, Rel. int.
1 1 1, 29.36, 3.042, 72.7
0 1 2, 30.12, 2.967, 19.2
1 0 2, 32.99, 2.715, 100.0
0 2 1, 34.97, 2.566, 83.2
1 1 2, 36.91, 2.436, 91.8
1 2 1, 41.05, 2.199, 87.2
0 1 3, 41.83, 2.160, 39.2
2 0 0, 42.39, 2.132, 53.9
0 1 4, 54.73, 1.677, 24.5
2 2 1, 56.07, 1.640, 58.1
2 1 3, 61.07, 1.517, 25.5
2 1 4, 71.59, 1.318, 32.2

Cell and atoms:
```
data_Ho2CoPd
_chemical_formula_sum 'Ho4 Co2 Pd2'
_symmetry_space_group_name_H-M 'P m c 21'
_symmetry_Int_Tables_number 26
_symmetry_space_group_name_Hall 'P 2c -2'
_cell_length_a 4.264
_cell_length_b 5.511
_cell_length_c 7.042
_cell_angle_alpha 90.00
_cell_angle_beta 90.00
_cell_angle_gamma 90.00
loop_
_atom_site_label
_atom_site_type_symbol
_atom_site_fract_x
_atom_site_fract_y
_atom_site_fract_z
_atom_site_occupancy
Ho1 Ho 0.000 0.109 0.000 1
Ho2 Ho 0.500 0.374 0.357 1
Co1 Co 0.500 0.101 0.723 1
Pd1 Pd 0.000 0.388 0.643 1
```


4.
Theoretical powder diffraction line list
Compound: CsReHg3Se4
Radiation: a wavelength of 1.5418 Å
Structure: the PBE geometry in OQMD

Principal peaks in the range 2θ = 10–80°, by angle:
(hkl), 2theta, d_spacing, Rel. int.
1 0 0, 11.82, 7.487, 85.2
1 1 0, 16.75, 5.294, 16.9
1 1 1, 20.55, 4.322, 69.4
2 0 0, 23.77, 3.743, 57.9
2 2 0, 33.87, 2.647, 100.0
2 2 1, 35.99, 2.496, 20.2
3 1 1, 39.94, 2.257, 44.4
2 2 2, 41.80, 2.161, 25.6
3 2 0, 43.59, 2.076, 18.6
4 2 0, 54.84, 1.674, 44.3
4 2 2, 60.59, 1.528, 29.2
6 0 0, 76.32, 1.248, 22.7

Cell and atoms:
```
data_CsReHg3Se4
_chemical_formula_sum 'Cs1 Re1 Hg3 Se4'
_symmetry_space_group_name_H-M 'P -4 3 m'
_symmetry_Int_Tables_number 215
_symmetry_space_group_name_Hall 'P -4 2 3'
_cell_length_a 7.487
_cell_length_b 7.487
_cell_length_c 7.487
_cell_angle_alpha 90.00
_cell_angle_beta 90.00
_cell_angle_gamma 90.00
loop_
_atom_site_label
_atom_site_type_symbol
_atom_site_fract_x
_atom_site_fract_y
_atom_site_fract_z
_atom_site_occupancy
Cs1 Cs 0.000 0.000 0.000 1
Re1 Re 0.500 0.500 0.500 1
Hg1 Hg 0.000 0.500 0.500 1
Se1 Se 0.322 0.322 0.322 1
```


5.
Theoretical powder diffraction line list
Compound: Li4MgPtPb2
Radiation: a wavelength of 1.5418 Å
Structure: the PBE geometry in OQMD

Principal peaks in the range 2θ = 10–80°, by angle:
(hkl), 2theta, d_spacing, Rel. int.
0 0 1, 12.84, 6.893, 18.6
1 0 0, 19.08, 4.651, 10.6
1 0 1, 23.07, 3.855, 100.0
1 1 2, 37.81, 2.379, 58.7
2 0 0, 38.72, 2.325, 28.1
1 0 3, 43.96, 2.060, 18.5
2 1 1, 45.56, 1.991, 34.4
2 2 0, 55.92, 1.644, 9.8
2 1 3, 60.00, 1.542, 14.9
2 0 4, 67.67, 1.384, 10.3
3 1 2, 69.49, 1.353, 20.3
3 2 1, 74.90, 1.268, 8.2

Cell and atoms:
```
data_Li4MgPtPb2
_chemical_formula_sum 'Li4 Mg1 Pt1 Pb2'
_symmetry_space_group_name_H-M 'P -4 m 2'
_symmetry_Int_Tables_number 115
_symmetry_space_group_name_Hall 'P -4 -2'
_cell_length_a 4.651
_cell_length_b 4.651
_cell_length_c 6.893
_cell_angle_alpha 90.00
_cell_angle_beta 90.00
_cell_angle_gamma 90.00
loop_
_atom_site_label
_atom_site_type_symbol
_atom_site_fract_x
_atom_site_fract_y
_atom_site_fract_z
_atom_site_occupancy
Li1 Li 0.000 0.000 0.000 1
Li2 Li 0.000 0.500 0.211 1
Li3 Li 0.500 0.500 0.500 1
Mg1 Mg 0.000 0.000 0.500 1
Pt1 Pt 0.500 0.500 0.000 1
Pb1 Pb 0.000 0.500 0.763 1
```


6.
Theoretical powder diffraction line list
Compound: K2ZrH6O6
Radiation: a wavelength of 1.5418 Å
Structure: the PBE geometry in OQMD

Principal peaks in the range 2θ = 10–80°, by angle:
(hkl), 2theta, d_spacing, Rel. int.
1 0 1, 17.29, 5.130, 71.9
0 1 2, 21.31, 4.170, 17.5
0 0 3, 21.50, 4.133, 26.6
1 1 0, 27.42, 3.253, 65.0
1 0 4, 32.98, 2.716, 23.5
1 1 3, 35.11, 2.556, 100.0
0 2 4, 43.40, 2.085, 41.8
3 0 0, 48.47, 1.878, 20.1
2 1 4, 52.11, 1.755, 17.5
0 3 3, 53.60, 1.710, 22.6
2 2 0, 56.58, 1.627, 19.4
3 -1 7, 68.96, 1.362, 17.5

Cell and atoms:
```
data_K2ZrH6O6
_chemical_formula_sum 'K6 Zr3 H18 O18'
_symmetry_space_group_name_H-M 'R -3'
_symmetry_Int_Tables_number 148
_symmetry_space_group_name_Hall '-R 3'
_cell_length_a 6.5064
_cell_length_b 6.5064
_cell_length_c 12.3984
_cell_angle_alpha 90.00
_cell_angle_beta 90.00
_cell_angle_gamma 120.00
loop_
_atom_site_label
_atom_site_type_symbol
_atom_site_fract_x
_atom_site_fract_y
_atom_site_fract_z
_atom_site_occupancy
K1 K 0.0000 0.0000 0.2099 1
Zr1 Zr 0.0000 0.0000 0.5000 1
H1 H 0.0125 0.5672 0.6871 1
O1 O 0.0312 0.5725 0.2645 1
```


7.
Theoretical powder diffraction line list
Compound: Nd2AlGaBr2
Radiation: a wavelength of 1.5418 Å
Structure: the PBE geometry in OQMD

Principal peaks in the range 2θ = 10–80°, by angle:
(hkl), 2theta, d_spacing, Rel. int.
0 0 2, 15.27, 5.801, 20.7
1 0 0, 24.11, 3.691, 18.6
1 0 1, 25.32, 3.518, 32.5
1 0 2, 28.66, 3.114, 65.7
1 0 3, 33.56, 2.670, 100.0
1 1 0, 42.41, 2.131, 49.6
0 1 5, 46.21, 1.964, 24.8
0 2 2, 51.99, 1.759, 12.3
0 2 3, 55.14, 1.666, 24.0
1 1 6, 65.14, 1.432, 17.9
2 1 2, 69.27, 1.356, 10.3
2 1 3, 71.95, 1.312, 21.5

Cell and atoms:
```
data_Nd2AlGaBr2
_chemical_formula_sum 'Nd2 Al1 Ga1 Br2'
_symmetry_space_group_name_H-M 'P 3 m 1'
_symmetry_Int_Tables_number 156
_symmetry_space_group_name_Hall 'P 3 -2"'
_cell_length_a 4.2624
_cell_length_b 4.2624
_cell_length_c 11.6015
_cell_angle_alpha 90.00
_cell_angle_beta 90.00
_cell_angle_gamma 120.00
loop_
_atom_site_label
_atom_site_type_symbol
_atom_site_fract_x
_atom_site_fract_y
_atom_site_fract_z
_atom_site_occupancy
Nd1 Nd 0.0000 0.0000 0.0000 1
Nd2 Nd 0.0000 0.0000 0.3703 1
Al1 Al 0.6667 0.3333 0.1678 1
Ga1 Ga 0.3333 0.6667 0.2099 1
Br1 Br 0.3333 0.6667 0.8460 1
Br2 Br 0.6667 0.3333 0.5257 1
```


8.
Theoretical powder diffraction line list
Compound: NdDyZn2Sn2
Radiation: a wavelength of 1.5418 Å
Structure: the PBE geometry in OQMD

Principal peaks in the range 2θ = 10–80°, by angle:
(hkl), 2theta, d_spacing, Rel. int.
1 0 0, 22.63, 3.929, 6.7
1 0 3, 28.07, 3.179, 15.2
1 0 4, 31.71, 2.822, 100.0
1 1 0, 39.74, 2.268, 59.5
0 0 8, 44.68, 2.028, 7.3
1 0 7, 45.43, 1.996, 13.3
1 0 8, 50.65, 1.802, 5.4
2 0 4, 51.70, 1.768, 25.5
1 1 8, 61.31, 1.512, 17.3
2 1 4, 67.13, 1.394, 23.3
3 0 0, 72.13, 1.310, 10.3
2 1 7, 76.13, 1.250, 5.9

Cell and atoms:
```
data_NdDyZn2Sn2
_chemical_formula_sum 'Nd2 Dy2 Zn4 Sn4'
_symmetry_space_group_name_H-M 'P 63/m m c'
_symmetry_Int_Tables_number 194
_symmetry_space_group_name_Hall '-P 6c 2c'
_cell_length_a 4.5366
_cell_length_b 4.5366
_cell_length_c 16.2258
_cell_angle_alpha 90.00
_cell_angle_beta 90.00
_cell_angle_gamma 120.00
loop_
_atom_site_label
_atom_site_type_symbol
_atom_site_fract_x
_atom_site_fract_y
_atom_site_fract_z
_atom_site_occupancy
Nd1 Nd 0.0000 0.0000 0.0000 1
Dy1 Dy 0.0000 0.0000 0.2500 1
Zn1 Zn 0.3333 0.6667 0.1620 1
Sn1 Sn 0.3333 0.6667 0.6180 1
```